# 1
Starting from a cell relaxed with PBE, the PXRD pattern of UN2Cl5 was calculated for λ = 1.5418 Å (Cu Kα).

Atomic structure:
Unit cell a=5.394 b=8.191 c=8.365 alpha=84.01 beta=71.21 gamma=72.43
Space group P1 (No. 1)
Unique sites:
1 U 0.000 0.000 0.000 x1
2 N 0.330 0.505 0.350 x1
3 N 0.681 0.505 0.650 x1
4 Cl 0.146 0.683 0.998 x1
5 Cl 0.154 0.004 0.687 x1
6 Cl 0.500 0.000 0.000 x1
7 Cl 0.846 0.996 0.313 x1
8 Cl 0.854 0.317 0.002 x1

Largest 6 diffraction maxima, low angle first, 2θ = 10–80°:
(0 0 1), 2θ = 11.2°, I = 100
(0 1 0), 2θ = 11.3°, I = 87
(0 1 1), 2θ = 15.9°, I = 26
(1 0 0), 2θ = 18.1°, I = 54
(1 1 1), 2θ = 18.4°, I = 60
(2 1 1), 2θ = 33.2°, I = 32

# 2
Starting from a cell relaxed with PBE, the PXRD pattern of W2NCl9 was calculated for λ = 1.5418 Å (Cu Kα).

Atomic structure:
Unit cell a=9.458 b=17.047 c=13.327 alpha=90.00 beta=134.55 gamma=90.00
Space group P2_1/c (No. 14)
Unique sites:
1 W 0.168 0.093 0.134 x4
2 W 0.183 0.188 0.649 x4
3 N 0.169 0.196 0.135 x4
4 Cl 0.001 0.196 0.705 x4
5 Cl 0.015 0.576 0.313 x4
6 Cl 0.108 0.683 0.087 x4
7 Cl 0.138 0.575 0.609 x4
8 Cl 0.205 0.053 0.671 x4
9 Cl 0.327 0.077 0.061 x4
10 Cl 0.360 0.191 0.589 x4
11 Cl 0.457 0.069 0.362 x4
12 Cl 0.472 0.205 0.883 x4

Largest 6 diffraction maxima, low angle first, 2θ = 10–80°:
(1 0 -2), 2θ = 13.3°, I = 83
(1 1 0), 2θ = 14.1°, I = 100
(1 1 -2), 2θ = 14.3°, I = 48
(0 1 2), 2θ = 19.4°, I = 49
(0 4 1), 2θ = 22.9°, I = 43
(1 5 -1), 2θ = 27.8°, I = 70

# 3
Starting from a cell relaxed with PBE, the PXRD pattern of WN2Cl was calculated for λ = 1.5418 Å (Cu Kα).

Atomic structure:
Unit cell a=8.583 b=8.583 c=8.583 alpha=90.00 beta=90.00 gamma=90.00
Space group Fd-3m (No. 227, origin choice 2)
Unique sites:
1 W 0.125 0.125 0.125 x8
2 N 0.000 0.000 0.000 x16
3 Cl 0.125 0.125 0.625 x8

Largest 6 diffraction maxima, low angle first, 2θ = 10–80°:
(1 1 1), 2θ = 17.9°, I = 63
(2 2 0), 2θ = 29.4°, I = 100
(3 1 1), 2θ = 34.7°, I = 22
(3 3 1), 2θ = 46.1°, I = 17
(4 2 2), 2θ = 52.2°, I = 40
(6 2 0), 2θ = 69.2°, I = 17

# 4
Starting from a cell relaxed with PBE, the PXRD pattern of Zn2NCl was calculated for λ = 1.5418 Å (Cu Kα).

Atomic structure:
Unit cell a=6.191 b=7.628 c=6.085 alpha=90.00 beta=90.00 gamma=90.00
Space group Pna2_1 (No. 33)
Unique sites:
1 Zn 0.001 0.004 0.000 x4
2 Zn 0.107 0.334 0.731 x4
3 N 0.081 0.872 0.248 x4
4 Cl 0.085 0.394 0.278 x4

Largest 6 diffraction maxima, low angle first, 2θ = 10–80°:
(0 1 1), 2θ = 18.7°, I = 47
(1 2 0), 2θ = 27.5°, I = 30
(2 0 0), 2θ = 28.8°, I = 41
(1 1 2), 2θ = 34.9°, I = 100
(0 2 2), 2θ = 37.8°, I = 31
(1 3 0), 2θ = 38.3°, I = 52

# 5
Starting from a cell relaxed with PBE, the PXRD pattern of ZrN3Cl was calculated for λ = 1.5418 Å (Cu Kα).

Atomic structure:
Unit cell a=3.724 b=3.724 c=3.724 alpha=90.00 beta=90.00 gamma=90.00
Space group Pm-3m (No. 221)
Unique sites:
1 Zr 0.000 0.000 0.000 x1
2 N 0.000 0.500 0.500 x3
3 Cl 0.500 0.500 0.500 x1

Largest 6 diffraction maxima, low angle first, 2θ = 10–80°:
(1 0 0), 2θ = 23.9°, I = 16
(1 1 0), 2θ = 34.0°, I = 100
(1 1 1), 2θ = 42.0°, I = 26
(2 0 0), 2θ = 48.9°, I = 35
(2 1 1), 2θ = 60.9°, I = 35
(2 2 0), 2θ = 71.7°, I = 19

# 6
Starting from a cell relaxed with PBE, the PXRD pattern of ZrNCl was calculated for λ = 1.5418 Å (Cu Kα).

Atomic structure:
Unit cell a=3.6478 b=3.6478 c=29.8391 alpha=90.00 beta=90.00 gamma=120.00
Space group R-3m (No. 166, hexagonal axes)
Unique sites:
1 Zr 0.0000 0.0000 0.1225 x6
2 N 0.0000 0.0000 0.1957 x6
3 Cl 0.0000 0.0000 0.3951 x6

Largest 6 diffraction maxima, low angle first, 2θ = 10–80°:
(1 0 1), 2θ = 28.4°, I = 15
(1 0 4), 2θ = 30.7°, I = 100
(0 0 12), 2θ = 36.1°, I = 15
(0 1 8), 2θ = 37.3°, I = 39
(1 1 0), 2θ = 50.0°, I = 32
(1 1 12), 2θ = 63.2°, I = 16

# 7
Starting from a cell relaxed with PBE, the PXRD pattern of Na6Cl5 was calculated for λ = 1.5418 Å (Cu Kα).

Atomic structure:
Unit cell a=6.987 b=12.086 c=6.983 alpha=90.00 beta=109.48 gamma=90.00
Space group C2/m (No. 12)
Unique sites:
1 Na 0.249 0.000 0.251 x4
2 Na 0.250 0.167 0.750 x8
3 Cl 0.000 0.000 0.500 x2
4 Cl 0.000 0.167 0.000 x4
5 Cl 0.000 0.334 0.500 x4

Largest 6 diffraction maxima, low angle first, 2θ = 10–80°:
(1 1 0), 2θ = 15.3°, I = 5
(1 3 1), 2θ = 31.4°, I = 100
(2 0 2), 2θ = 45.0°, I = 66
(4 0 0), 2θ = 55.9°, I = 21
(2 6 2), 2θ = 65.5°, I = 9
(4 6 0), 2θ = 74.4°, I = 25

# 8
Starting from a cell relaxed with PBE, the PXRD pattern of NaCl7 was calculated for λ = 1.5418 Å (Cu Kα).

Atomic structure:
Unit cell a=6.118 b=6.118 c=6.118 alpha=90.00 beta=90.00 gamma=90.00
Space group Pm-3 (No. 200)
Unique sites:
1 Na 0.000 0.000 0.000 x1
2 Cl 0.000 0.168 0.500 x6
3 Cl 0.500 0.500 0.500 x1

Largest 6 diffraction maxima, low angle first, 2θ = 10–80°:
(1 1 1), 2θ = 25.2°, I = 81
(2 0 0), 2θ = 29.2°, I = 79
(2 1 0), 2θ = 32.7°, I = 100
(2 1 1), 2θ = 36.0°, I = 57
(3 0 1), 2θ = 47.0°, I = 29
(3 1 2), 2θ = 56.3°, I = 58

Please write out number 7 again, unchanged.
Starting from a cell relaxed with PBE, the PXRD pattern of Na6Cl5 was calculated for λ = 1.5418 Å (Cu Kα).

Atomic structure:
Unit cell a=6.987 b=12.086 c=6.983 alpha=90.00 beta=109.48 gamma=90.00
Space group C2/m (No. 12)
Unique sites:
1 Na 0.249 0.000 0.251 x4
2 Na 0.250 0.167 0.750 x8
3 Cl 0.000 0.000 0.500 x2
4 Cl 0.000 0.167 0.000 x4
5 Cl 0.000 0.334 0.500 x4

Largest 6 diffraction maxima, low angle first, 2θ = 10–80°:
(1 1 0), 2θ = 15.3°, I = 5
(1 3 1), 2θ = 31.4°, I = 100
(2 0 2), 2θ = 45.0°, I = 66
(4 0 0), 2θ = 55.9°, I = 21
(2 6 2), 2θ = 65.5°, I = 9
(4 6 0), 2θ = 74.4°, I = 25

Which formula does entry 3 have? WN2Cl